(1)
The following is a theoretical powder X-ray diffraction pattern of Ac4LaHg3. It was derived from a cell relaxed with PBE, using Cu Kα (λ = 1.5418 Å).
Lines closer than 0.1° are merged.

Lattice parameters (Å, degrees): 11.264 8.769 5.630 90.00 90.00 90.00
Fractional coordinates of all 16 atoms:
Ac 0.000 0.231 0.000
Ac 0.000 0.769 0.000
Ac 0.250 0.231 0.499
Ac 0.250 0.769 0.499
Ac 0.500 0.231 0.000
Ac 0.500 0.769 0.000
Ac 0.750 0.231 0.501
Ac 0.750 0.769 0.501
La 0.000 0.500 0.500
La 0.500 0.500 0.500
Hg 0.000 0.000 0.500
Hg 0.250 0.000 0.999
Hg 0.250 0.500 0.998
Hg 0.500 0.000 0.500
Hg 0.750 0.000 0.001
Hg 0.750 0.500 0.002

The 10 most intense peaks (2θ = 10–90°), by intensity:
Position (°2θ), intensity
30.3, 100.0
31.8, 45.7
55.7, 37.3
52.9, 19.8
45.6, 17.2
63.1, 11.8
41.2, 10.1
89.8, 9.7
86.1, 9.0
68.4, 8.0

---

(2)
The following is a theoretical powder X-ray diffraction pattern of Hf2Al3Ga. It was derived from a cell relaxed with PBE, using Cu Kα (λ = 1.5418 Å).
Lines closer than 0.1° are merged.

Lattice parameters (Å, degrees): 8.818 8.243 5.419 77.36 65.80 36.84
Fractional coordinates of all 12 atoms:
Hf 0.249 0.751 0.751
Hf 0.250 0.250 0.250
Hf 0.750 0.750 0.750
Hf 0.751 0.249 0.249
Al 0.167 0.167 0.833
Al 0.167 0.666 0.334
Al 0.334 0.833 0.167
Al 0.666 0.167 0.833
Al 0.833 0.334 0.666
Al 0.833 0.833 0.167
Ga 0.333 0.333 0.667
Ga 0.667 0.667 0.333

The 10 most intense peaks (2θ = 10–90°), by intensity:
Position (°2θ), intensity
37.1, 100.0
23.3, 66.7
40.9, 35.4
56.4, 20.0
40.8, 17.9
74.3, 12.2
74.4, 12.2
64.4, 11.3
56.5, 10.0
71.8, 9.7